Theoretical powder XRD pattern of Tb2Tm3Ga4 for Cu Kα, from a structure optimized by DFT (PBE).

Cell and atoms:
a = 7.849 Å, b = 7.887 Å, c = 7.397 Å
α = 90.00°, β = 106.78°, γ = 90.00°
Space group P2_1/c (No. 14)
Unique sites:
Tb  0.191  0.183  0.073 x4
Tm  0.240  0.675  0.251 x4
Tm  0.500  0.000  0.500 x2
Ga  0.081  0.529  0.864 x4
Ga  0.490  0.123  0.877 x4

Most intense lines, 2θ from 10° to 90°, in order of rising 2θ:
2theta	I_rel
30.01	18
31.41	25
32.71	50
32.93	100
33.54	23
35.85	21
36.46	33
38.26	36